(1)
For Er4B3TeRh12, DFT lattice parameters and positions (GGA-PBE) gives the simulated XRD peak list in this record (λ = 1.5418 Å (Cu Kα)).
Lines closer than 0.1° are merged.

Structural model:
a = 7.523 Å, b = 7.523 Å, c = 7.523 Å
α = 109.47°, β = 109.47°, γ = 109.47°
Element x y z (fractional)
Er1 0.000 0.000 0.500
Er2 0.000 0.500 0.000
Er3 0.500 0.000 0.000
Er4 0.500 0.500 0.500
B1 0.000 0.500 0.500
B2 0.500 0.000 0.500
B3 0.500 0.500 0.000
Te1 0.000 0.000 0.000
Rh1 0.000 0.276 0.276
Rh2 0.000 0.724 0.724
Rh3 0.250 0.500 0.750
Rh4 0.250 0.750 0.500
Rh5 0.276 0.000 0.276
Rh6 0.276 0.276 0.000
Rh7 0.500 0.250 0.750
Rh8 0.500 0.750 0.250
Rh9 0.724 0.000 0.724
Rh10 0.724 0.724 0.000
Rh11 0.750 0.250 0.500
Rh12 0.750 0.500 0.250

Largest 12 diffraction maxima, by intensity, 15 to 90 degrees two-theta:
- 35.8 deg, rel. 100.0
- 41.6 deg, rel. 66.6
- 60.3 deg, rel. 42.1
- 72.1 deg, rel. 34.7
- 29.1 deg, rel. 14.1
- 75.9 deg, rel. 13.6
- 38.8 deg, rel. 5.8
- 51.5 deg, rel. 4.7
- 49.2 deg, rel. 4.1
- 32.6 deg, rel. 4.1
- 83.2 deg, rel. 3.6
- 68.3 deg, rel. 3.6

=====

(2)
For KSn4Pd6, DFT lattice parameters and positions (GGA-PBE) gives the simulated XRD peak list in this record (λ = 1.5418 Å (Cu Kα)).
Lines closer than 0.1° are merged.

Structural model:
a = 7.752 Å, b = 7.752 Å, c = 4.260 Å
α = 90.00°, β = 90.00°, γ = 120.00°
Element x y z (fractional)
K1 0.000 0.000 0.000
Sn1 0.333 0.667 0.000
Sn2 0.387 0.194 0.500
Sn3 0.806 0.194 0.500
Sn4 0.806 0.613 0.500
Pd1 0.206 0.413 0.500
Pd2 0.206 0.794 0.500
Pd3 0.537 0.074 0.000
Pd4 0.537 0.463 0.000
Pd5 0.587 0.794 0.500
Pd6 0.926 0.463 0.000

Largest 12 diffraction maxima, by intensity, 15 to 90 degrees two-theta:
- 41.4 deg, rel. 100.0
- 34.0 deg, rel. 81.4
- 42.4 deg, rel. 34.7
- 35.4 deg, rel. 30.7
- 46.9 deg, rel. 26.5
- 74.0 deg, rel. 25.5
- 31.2 deg, rel. 21.1
- 65.1 deg, rel. 19.9
- 45.8 deg, rel. 17.5
- 76.9 deg, rel. 16.7
- 56.4 deg, rel. 15.8
- 40.3 deg, rel. 13.6

=====

Please write out number 2 again, unchanged.
For KSn4Pd6, DFT lattice parameters and positions (GGA-PBE) gives the simulated XRD peak list in this record (λ = 1.5418 Å (Cu Kα)).
Lines closer than 0.1° are merged.

Structural model:
a = 7.752 Å, b = 7.752 Å, c = 4.260 Å
α = 90.00°, β = 90.00°, γ = 120.00°
Element x y z (fractional)
K1 0.000 0.000 0.000
Sn1 0.333 0.667 0.000
Sn2 0.387 0.194 0.500
Sn3 0.806 0.194 0.500
Sn4 0.806 0.613 0.500
Pd1 0.206 0.413 0.500
Pd2 0.206 0.794 0.500
Pd3 0.537 0.074 0.000
Pd4 0.537 0.463 0.000
Pd5 0.587 0.794 0.500
Pd6 0.926 0.463 0.000

Largest 12 diffraction maxima, by intensity, 15 to 90 degrees two-theta:
- 41.4 deg, rel. 100.0
- 34.0 deg, rel. 81.4
- 42.4 deg, rel. 34.7
- 35.4 deg, rel. 30.7
- 46.9 deg, rel. 26.5
- 74.0 deg, rel. 25.5
- 31.2 deg, rel. 21.1
- 65.1 deg, rel. 19.9
- 45.8 deg, rel. 17.5
- 76.9 deg, rel. 16.7
- 56.4 deg, rel. 15.8
- 40.3 deg, rel. 13.6

=====

Q: Which formula does entry 1 have?
A: Er4B3TeRh12